Starting from the GGA-PBE geometry in the Materials Project, the PXRD pattern of K2RbYF6 was computed for Cu Kα.

abc: 6.8434 6.8434 6.8434
angles: 60.00 60.00 60.00
Positions (direct):
K (0.2500, 0.2500, 0.2500)
K (0.7500, 0.7500, 0.7500)
Rb (0.0000, 0.0000, 0.0000)
Y (0.5000, 0.5000, 0.5000)
F (0.2744, 0.2744, 0.7256)
F (0.2744, 0.7256, 0.2744)
F (0.2744, 0.7256, 0.7256)
F (0.7256, 0.2744, 0.2744)
F (0.7256, 0.2744, 0.7256)
F (0.7256, 0.7256, 0.2744)

Principal peaks in the range 10° ≤ 2θ ≤ 80°, by angle:
d (Å)	intensity
4.839	44
3.422	100
2.419	52
2.164	19
1.976	38
1.711	31
1.613	9
1.530	20
1.397	9
1.342	5
1.293	21
1.210	4


Starting from the GGA-PBE geometry in the Materials Project, the PXRD pattern of KRb2YF6 was computed for Cu Kα.

abc: 6.5814 6.7506 11.4232
angles: 90.00 124.91 90.00
Positions (direct):
K (0.0000, 0.0000, 0.0000)
K (0.0000, 0.5000, 0.5000)
Rb (0.2373, 0.0438, 0.7481)
Rb (0.2373, 0.4562, 0.2481)
Rb (0.7627, 0.5438, 0.7519)
Rb (0.7627, 0.9562, 0.2519)
Y (0.5000, 0.0000, 0.5000)
Y (0.5000, 0.5000, 0.0000)
F (0.1879, 0.1819, 0.4589)
F (0.1879, 0.3181, 0.9589)
F (0.2694, 0.7329, 0.4462)
F (0.2694, 0.7671, 0.9462)
F (0.3647, 0.0388, 0.2751)
F (0.3647, 0.4612, 0.7751)
F (0.6353, 0.5388, 0.2249)
F (0.6353, 0.9612, 0.7249)
F (0.7306, 0.2329, 0.0538)
F (0.7306, 0.2671, 0.5538)
F (0.8121, 0.6819, 0.0411)
F (0.8121, 0.8181, 0.5411)

Principal peaks in the range 10° ≤ 2θ ≤ 80°, by angle:
d (Å)	intensity
5.477	12
5.381	10
3.375	23
3.322	100
3.291	23
2.356	32
2.342	18
1.938	17
1.924	12
1.910	20
1.903	20
1.659	10


Starting from the GGA-PBE geometry in the Materials Project, the PXRD pattern of K2ReF8 was computed for Cu Kα.

abc: 8.8703 6.0023 12.7572
angles: 90.00 90.00 90.00
Positions (direct):
K (0.0487, 0.2500, 0.2097)
K (0.1696, 0.2500, 0.5596)
K (0.3304, 0.7500, 0.0596)
K (0.4513, 0.7500, 0.7097)
K (0.5487, 0.2500, 0.2903)
K (0.6696, 0.2500, 0.9404)
K (0.8304, 0.7500, 0.4404)
K (0.9513, 0.7500, 0.7903)
Re (0.2184, 0.2500, 0.8769)
Re (0.2816, 0.7500, 0.3769)
Re (0.7184, 0.2500, 0.6231)
Re (0.7816, 0.7500, 0.1231)
F (0.0041, 0.2500, 0.8403)
F (0.1031, 0.5512, 0.3853)
F (0.1031, 0.9488, 0.3853)
F (0.1352, 0.5241, 0.9343)
F (0.1352, 0.9759, 0.9343)
F (0.2094, 0.0507, 0.7526)
F (0.2094, 0.4493, 0.7526)
F (0.2308, 0.7500, 0.5283)
F (0.2692, 0.2500, 0.0283)
F (0.2906, 0.5507, 0.2526)
F (0.2906, 0.9493, 0.2526)
F (0.3648, 0.0241, 0.4343)
F (0.3648, 0.4759, 0.4343)
F (0.3969, 0.0512, 0.8853)
F (0.3969, 0.4488, 0.8853)
F (0.4959, 0.7500, 0.3403)
F (0.5041, 0.2500, 0.6597)
F (0.6031, 0.5512, 0.1147)
F (0.6031, 0.9488, 0.1147)
F (0.6352, 0.5241, 0.5657)
F (0.6352, 0.9759, 0.5657)
F (0.7094, 0.0507, 0.7474)
F (0.7094, 0.4493, 0.7474)
F (0.7308, 0.7500, 0.9717)
F (0.7692, 0.2500, 0.4717)
F (0.7906, 0.5507, 0.2474)
F (0.7906, 0.9493, 0.2474)
F (0.8648, 0.0241, 0.0657)
F (0.8648, 0.4759, 0.0657)
F (0.8969, 0.0512, 0.6147)
F (0.8969, 0.4488, 0.6147)
F (0.9959, 0.7500, 0.1597)

Principal peaks in the range 10° ≤ 2θ ≤ 80°, by angle:
d (Å)	intensity
5.431	56
5.179	100
4.632	61
4.435	33
3.470	37
3.435	45
3.231	33
2.597	22
2.185	18
2.000	18
1.961	16
1.703	15


Starting from the GGA-PBE geometry in the Materials Project, the PXRD pattern of K2RhF6 was computed for Cu Kα.

abc: 5.8469 5.8469 4.7610
angles: 90.00 90.00 120.00
Positions (direct):
K (0.3333, 0.6667, 0.2883)
K (0.6667, 0.3333, 0.7117)
Rh (0.0000, 0.0000, 0.0000)
F (0.1610, 0.3220, 0.7735)
F (0.1610, 0.8390, 0.7735)
F (0.3220, 0.1610, 0.2265)
F (0.6780, 0.8390, 0.7735)
F (0.8390, 0.1610, 0.2265)
F (0.8390, 0.6780, 0.2265)

Principal peaks in the range 10° ≤ 2θ ≤ 80°, by angle:
d (Å)	intensity
5.064	65
4.761	25
3.469	100
2.923	44
2.491	17
2.235	72
2.154	26
1.776	26
1.734	30
1.492	19
1.462	18
1.395	11


Starting from the GGA-PBE geometry in the Materials Project, the PXRD pattern of K3RhF6 was computed for Cu Kα.

abc: 6.6233 6.6451 6.7293
angles: 102.56 103.23 104.97
Positions (direct):
K (0.0000, 0.0000, 0.0000)
K (0.0000, 0.5000, 0.5000)
K (0.5000, 0.0000, 0.5000)
Rh (0.0000, 0.0000, 0.5000)
F (0.0536, 0.7764, 0.2770)
F (0.2214, 0.9366, 0.7214)
F (0.2293, 0.2269, 0.4383)
F (0.7707, 0.7731, 0.5617)
F (0.7786, 0.0634, 0.2786)
F (0.9464, 0.2236, 0.7230)

Principal peaks in the range 10° ≤ 2θ ≤ 80°, by angle:
d (Å)	intensity
6.261	53
6.117	100
5.262	7
5.223	13
3.130	8
3.068	7
3.049	8
2.611	13
2.434	9
2.418	7
2.023	9
2.005	9


Starting from the GGA-PBE geometry in the Materials Project, the PXRD pattern of K3RhF6 was computed for Cu Kα.

abc: 6.3670 6.3670 6.3670
angles: 60.00 60.00 60.00
Positions (direct):
K (0.0000, 0.0000, 0.0000)
K (0.2500, 0.2500, 0.2500)
K (0.7500, 0.7500, 0.7500)
Rh (0.5000, 0.5000, 0.5000)
F (0.2768, 0.2768, 0.7232)
F (0.2768, 0.7232, 0.2768)
F (0.2768, 0.7232, 0.7232)
F (0.7232, 0.2768, 0.2768)
F (0.7232, 0.2768, 0.7232)
F (0.7232, 0.7232, 0.2768)

Principal peaks in the range 10° ≤ 2θ ≤ 80°, by angle:
d (Å)	intensity
5.199	43
4.502	37
3.184	100
2.715	12
2.251	55
2.013	14
1.838	35
1.733	10
1.592	31
1.424	18
1.300	9
1.203	19


Starting from the GGA-PBE geometry in the Materials Project, the PXRD pattern of KRhF6 was computed for Cu Kα.

abc: 4.9834 4.9834 4.9834
angles: 97.92 97.92 97.92
Positions (direct):
K (0.0000, 0.0000, 0.0000)
Rh (0.5000, 0.5000, 0.5000)
F (0.1829, 0.5753, 0.2802)
F (0.2802, 0.1829, 0.5753)
F (0.4247, 0.7198, 0.8171)
F (0.5753, 0.2802, 0.1829)
F (0.7198, 0.8171, 0.4247)
F (0.8171, 0.4247, 0.7198)

Principal peaks in the range 10° ≤ 2θ ≤ 80°, by angle:
d (Å)	intensity
4.872	83
3.759	100
3.199	63
2.976	25
2.436	18
2.170	13
2.052	11
2.044	80
1.879	13
1.620	12
1.472	26
1.421	18


Starting from the GGA-PBE geometry in the Materials Project, the PXRD pattern of K3RhF6 was computed for Cu Kα.

abc: 6.6472 6.6961 6.7610
angles: 101.65 101.98 106.02
Positions (direct):
K (0.0000, 0.0000, 0.0000)
K (0.0000, 0.5000, 0.5000)
K (0.5000, 0.0000, 0.5000)
Rh (0.0000, 0.0000, 0.5000)
F (0.0484, 0.7800, 0.2787)
F (0.2144, 0.9319, 0.7149)
F (0.2313, 0.2239, 0.4318)
F (0.7687, 0.7761, 0.5682)
F (0.7856, 0.0681, 0.2851)
F (0.9516, 0.2200, 0.7213)

Principal peaks in the range 10° ≤ 2θ ≤ 80°, by angle:
d (Å)	intensity
6.357	100
6.187	92
6.134	92
5.329	14
5.205	23
3.179	15
3.093	14
3.067	14
2.603	20
2.444	15
2.047	16
2.036	13


Question: What is the formula in the first record?
Answer: K2RbYF6